Record 1
Structure and computed XRD peak list of MgSi2 (a structure optimized by DFT (PBE); Cu Kα X-rays).
Peak positions follow from Bragg's law for the DFT cell and can differ from measured ones.

The 6 most intense peaks (2θ from 10° to 80°), in order of rising 2θ:
35.60 deg, 2.522 Å, intensity 100.0; 35.87 deg, 2.503 Å, intensity 54.7; 36.83 deg, 2.441 Å, intensity 81.8; 36.94 deg, 2.433 Å, intensity 67.4; 39.96 deg, 2.256 Å, intensity 56.3; 46.31 deg, 1.961 Å, intensity 54.1

Structural model:
```
data_MgSi2
_chemical_formula_sum 'Mg4 Si8'
_cell_length_a 3.6974
_cell_length_b 5.3318
_cell_length_c 11.9448
_cell_angle_alpha 87.39
_cell_angle_beta 88.62
_cell_angle_gamma 70.62
_space_group_name_H-M_alt 'P 1'
_space_group_IT_number 1
_space_group_name_Hall 'P 1'
loop_
_atom_site_label
_atom_site_type_symbol
_atom_site_fract_x
_atom_site_fract_y
_atom_site_fract_z
Mg1 Mg 0.0000 0.0000 0.0000
Mg2 Mg 0.0543 0.7167 0.4426
Mg3 Mg 0.3217 0.3779 0.8175
Mg4 Mg 0.6477 0.6371 0.2081
Si1 Si 0.0611 0.9606 0.7638
Si2 Si 0.2912 0.3905 0.0637
Si3 Si 0.3300 0.2340 0.3294
Si4 Si 0.3506 0.1148 0.5249
Si5 Si 0.6598 0.7600 0.6676
Si6 Si 0.6984 0.5974 0.9617
Si7 Si 0.7594 0.3112 0.6157
Si8 Si 0.9192 0.0617 0.2322
```

***

Record 2
Structure and computed XRD peak list of Cs2RbCeCl6 (a structure optimized by DFT (PBE); Cu Kα X-rays).
Peak positions follow from Bragg's law for the DFT cell and can differ from measured ones.

The 6 most intense peaks (2θ from 10° to 80°), in order of rising 2θ:
21.31 deg, 4.169 Å, intensity 100.0; 30.32 deg, 2.948 Å, intensity 59.2; 37.36 deg, 2.407 Å, intensity 46.6; 43.41 deg, 2.085 Å, intensity 41.2; 48.85 deg, 1.864 Å, intensity 23.7; 58.58 deg, 1.576 Å, intensity 27.0

Structural model:
```
data_Cs2RbCeCl6
_chemical_formula_sum 'Cs2 Rb1 Ce1 Cl6'
_cell_length_a 8.3380
_cell_length_b 8.3380
_cell_length_c 8.3380
_cell_angle_alpha 60.00
_cell_angle_beta 60.00
_cell_angle_gamma 60.00
_space_group_name_H-M_alt 'P 1'
_space_group_IT_number 1
_space_group_name_Hall 'P 1'
loop_
_atom_site_label
_atom_site_type_symbol
_atom_site_fract_x
_atom_site_fract_y
_atom_site_fract_z
Cs1 Cs 0.2500 0.2500 0.2500
Cs2 Cs 0.7500 0.7500 0.7500
Rb1 Rb 0.0000 0.0000 0.0000
Ce1 Ce 0.5000 0.5000 0.5000
Cl1 Cl 0.2668 0.2668 0.7332
Cl2 Cl 0.2668 0.7332 0.2668
Cl3 Cl 0.2668 0.7332 0.7332
Cl4 Cl 0.7332 0.2668 0.2668
Cl5 Cl 0.7332 0.2668 0.7332
Cl6 Cl 0.7332 0.7332 0.2668
```